Structure and calculated powder diffraction line list of LiNiPO4 (DFT lattice parameters and positions (GGA+U); Cu Kα X-rays).

Structural model:
```
LiNiPO4
1.0
4.7317 0.0000 0.0000
0.0000 5.9314 0.0000
0.0000 0.0000 10.1484
Li Ni P O
4 4 4 16
Direct
0.0018 0.2472 0.2479
0.4982 0.7528 0.7479
0.5018 0.2528 0.7521
0.9982 0.7472 0.2521
0.0191 0.5021 0.9742
0.4809 0.4979 0.4742
0.5191 0.9979 0.0258
0.9809 0.0021 0.5258
0.0834 0.0023 0.8442
0.4166 0.9977 0.3442
0.5834 0.4977 0.1558
0.9166 0.5023 0.6558
0.2008 0.0028 0.7011
0.2251 0.2091 0.9156
0.2248 0.7946 0.9151
0.2409 0.5019 0.6500
0.2591 0.4981 0.1500
0.2752 0.2054 0.4151
0.2749 0.7909 0.4156
0.2992 0.9972 0.2011
0.7008 0.4972 0.2989
0.7251 0.2909 0.0844
0.7248 0.7054 0.0849
0.7409 0.9981 0.3500
0.7591 0.0019 0.8500
0.7752 0.2946 0.5849
0.7749 0.7091 0.5844
0.7992 0.5028 0.7989
```

Main lines, by angle (2θ = 15–90°):
d 5.074, I 40.8; d 4.288, I 45.9; d 3.475, I 90.1; d 2.966, I 58.6; d 2.496, I 100.0; d 1.738, I 35.9

=====

Structure and calculated powder diffraction line list of Li2Ni3P9O28 (DFT lattice parameters and positions (GGA+U); Cu Kα X-rays).

Structural model:
```
Li2Ni3P9O28
1.0
7.0077 0.0000 0.0000
-1.4651 8.8907 0.0000
-3.1157 -3.7483 7.6685
Li Ni P O
2 3 9 28
Direct
0.1913 0.4605 0.2141
0.8087 0.5395 0.7859
0.0000 0.0000 0.0000
0.2554 0.5113 0.7527
0.7446 0.4887 0.2473
0.1853 0.1992 0.4156
0.1991 0.7447 0.5550
0.2923 0.2621 0.9342
0.3296 0.8156 0.0997
0.5000 0.0000 0.5000
0.6704 0.1844 0.9003
0.7077 0.7379 0.0658
0.8009 0.2553 0.4450
0.8147 0.8008 0.5844
0.0396 0.8536 0.5744
0.0830 0.1486 0.9050
0.0892 0.5909 0.3796
0.1423 0.1934 0.2363
0.1920 0.6355 0.9725
0.2277 0.3109 0.7850
0.2646 0.9554 0.0597
0.2737 0.7104 0.7123
0.2750 0.0623 0.4553
0.3156 0.3794 0.5471
0.3745 0.8355 0.2906
0.3965 0.8721 0.5727
0.4112 0.4079 0.1161
0.4389 0.1468 0.9007
0.5611 0.8532 0.0993
0.5888 0.5921 0.8839
0.6035 0.1279 0.4273
0.6255 0.1645 0.7094
0.6844 0.6206 0.4529
0.7250 0.9377 0.5447
0.7263 0.2896 0.2877
0.7354 0.0446 0.9403
0.7723 0.6891 0.2150
0.8080 0.3645 0.0275
0.8577 0.8066 0.7637
0.9108 0.4091 0.6204
0.9170 0.8514 0.0950
0.9604 0.1464 0.4256
```

Main lines, by angle (2θ = 15–90°):
d 5.071, I 100.0; d 4.896, I 61.9; d 3.806, I 39.0; d 3.692, I 49.3; d 2.983, I 75.3; d 2.851, I 35.2

=====

Structure and calculated powder diffraction line list of LiNiPO4 (DFT lattice parameters and positions (GGA+U); Cu Kα X-rays).

Structural model:
```
LiNiPO4
1.0
8.9005 0.0000 0.0000
0.0000 5.0056 0.0000
-2.6489 0.0000 7.8623
Li Ni P O
4 4 4 16
Direct
0.0000 0.1654 0.0000
0.0000 0.8346 0.5000
0.4922 0.3233 0.3562
0.4922 0.6767 0.8562
0.2608 0.1843 0.7772
0.2608 0.8157 0.2772
0.7585 0.3420 0.1384
0.7585 0.6580 0.6384
0.1283 0.3126 0.3843
0.1283 0.6874 0.8843
0.6232 0.1788 0.7495
0.6232 0.8212 0.2495
0.1084 0.1809 0.5451
0.1084 0.8191 0.0451
0.1442 0.3798 0.9093
0.1442 0.6202 0.4093
0.2774 0.1999 0.3466
0.2774 0.8001 0.8466
0.4736 0.2866 0.7861
0.4736 0.7134 0.2861
0.6084 0.1275 0.2197
0.6084 0.8725 0.7197
0.6407 0.3180 0.5892
0.6407 0.6820 0.0892
0.7694 0.2548 0.9052
0.7694 0.7452 0.4052
0.9820 0.2365 0.2307
0.9820 0.7635 0.7307
```

Main lines, by angle (2θ = 15–90°):
d 4.218, I 86.4; d 4.065, I 100.0; d 3.931, I 38.3; d 3.278, I 27.2; d 3.194, I 62.8; d 2.503, I 34.9

=====

Structure and calculated powder diffraction line list of LiNiPO4 (DFT lattice parameters and positions (GGA+U); Cu Kα X-rays).

Structural model:
```
LiNiPO4
1.0
4.1780 -2.7034 0.0000
4.1780 2.7034 0.0000
-0.0115 0.0000 15.6895
Li Ni P O
4 4 4 16
Direct
0.1410 0.2466 0.2268
0.2466 0.1410 0.7268
0.7534 0.8590 0.2732
0.8590 0.7534 0.7732
0.0804 0.5933 0.5869
0.4067 0.9196 0.9131
0.5933 0.0804 0.0869
0.9196 0.4067 0.4131
0.2187 0.7335 0.3744
0.2665 0.7813 0.1256
0.7335 0.2187 0.8744
0.7813 0.2665 0.6256
0.0041 0.9545 0.6541
0.0455 0.9959 0.8459
0.1376 0.6605 0.4649
0.1459 0.5179 0.3153
0.2949 0.4630 0.1312
0.3395 0.8624 0.0351
0.4630 0.2949 0.6312
0.4821 0.8541 0.1847
0.5179 0.1459 0.8153
0.5370 0.7051 0.3688
0.6605 0.1376 0.9649
0.7051 0.5370 0.8688
0.8541 0.4821 0.6847
0.8624 0.3395 0.5351
0.9545 0.0041 0.1541
0.9959 0.0455 0.3459
```

Main lines, by angle (2θ = 15–90°):
d 4.360, I 100.0; d 3.922, I 34.0; d 3.688, I 15.4; d 2.703, I 15.3; d 2.581, I 12.7; d 2.238, I 25.0

=====

- Which formula does entry 4 have?
  LiNiPO4

=====

Copy entry 3 word for word.
Structure and calculated powder diffraction line list of LiNiPO4 (DFT lattice parameters and positions (GGA+U); Cu Kα X-rays).

Structural model:
```
LiNiPO4
1.0
8.9005 0.0000 0.0000
0.0000 5.0056 0.0000
-2.6489 0.0000 7.8623
Li Ni P O
4 4 4 16
Direct
0.0000 0.1654 0.0000
0.0000 0.8346 0.5000
0.4922 0.3233 0.3562
0.4922 0.6767 0.8562
0.2608 0.1843 0.7772
0.2608 0.8157 0.2772
0.7585 0.3420 0.1384
0.7585 0.6580 0.6384
0.1283 0.3126 0.3843
0.1283 0.6874 0.8843
0.6232 0.1788 0.7495
0.6232 0.8212 0.2495
0.1084 0.1809 0.5451
0.1084 0.8191 0.0451
0.1442 0.3798 0.9093
0.1442 0.6202 0.4093
0.2774 0.1999 0.3466
0.2774 0.8001 0.8466
0.4736 0.2866 0.7861
0.4736 0.7134 0.2861
0.6084 0.1275 0.2197
0.6084 0.8725 0.7197
0.6407 0.3180 0.5892
0.6407 0.6820 0.0892
0.7694 0.2548 0.9052
0.7694 0.7452 0.4052
0.9820 0.2365 0.2307
0.9820 0.7635 0.7307
```

Main lines, by angle (2θ = 15–90°):
d 4.218, I 86.4; d 4.065, I 100.0; d 3.931, I 38.3; d 3.278, I 27.2; d 3.194, I 62.8; d 2.503, I 34.9